Theoretical XRD peak list of SmInCu2 for Cu Kα, from a DFT-relaxed cell (PBE, the Materials Project).
Kinematic intensities with the Lorentz-polarization factor, no thermal factor.

Atomic structure:
```
data_SmInCu2
_chemical_formula_sum 'Sm4 In4 Cu8'
_symmetry_space_group_name_H-M 'F m -3 m'
_symmetry_Int_Tables_number 225
_symmetry_space_group_name_Hall '-F 4 2 3'
_cell_length_a 6.7224
_cell_length_b 6.7224
_cell_length_c 6.7224
_cell_angle_alpha 90.00
_cell_angle_beta 90.00
_cell_angle_gamma 90.00
loop_
_atom_site_label
_atom_site_fract_x
_atom_site_fract_y
_atom_site_fract_z
_atom_site_occupancy
Sm1 0.0000 0.0000 0.0000 1
In1 0.0000 0.0000 0.5000 1
Cu1 0.2500 0.2500 0.2500 1
```

Peak list (10 most intense, 15 to 90 degrees two-theta, by angle)
22.91 deg, I = 2, (1 1 1); 26.52 deg, I = 13, (2 0 0); 37.85 deg, I = 100, (2 2 0); 44.71 deg, I = 1, (3 1 1); 46.81 deg, I = 4, (2 2 2); 54.61 deg, I = 17, (4 0 0); 61.71 deg, I = 5, (4 2 0); 68.36 deg, I = 33, (4 2 2); 80.89 deg, I = 10, (4 4 0); 86.96 deg, I = 3, (6 0 0)